Diffraction record for Pb3WCl2O5. The XRD peak list is theoretical, not measured: it uses a structure optimized by DFT (PBE+U) and CuKα.
Lines closer than 0.1° are merged.

Top 10 peaks for 15 to 90 degrees two-theta, sorted by position:
| Position (°2θ) | Rel. int. | hkl |
| --- | --- | --- |
| 23.13 | 74 | 1 1 2 |
| 26.66 | 62 | 1 3 1 |
| 27.26 | 29 | 0 2 3 |
| 29.20 | 27 | 1 1 3 |
| 30.04 | 100 | 1 3 2 |
| 31.25 | 65 | 2 0 0 |
| 31.73 | 36 | 0 0 4 |
| 43.95 | 31 | 0 6 2 |
| 45.14 | 38 | 2 0 4 |
| 54.89 | 50 | 2 6 2 |

Structural model:
Unit cell a=5.724 b=13.279 c=11.279 alpha=90.00 beta=90.00 gamma=90.00
Space group Cmcm (No. 63)
Symmetry-distinct sites (fractional):
Pb  0.000  0.097  0.250 x4
Pb  0.000  0.346  0.032 x8
W  0.000  0.237  0.750 x4
Cl  0.000  0.000  0.000 x4
Cl  0.000  0.474  0.750 x4
O  0.000  0.105  0.750 x4
O  0.233  0.271  0.630 x16